Diffraction record for CeHo2S5. The X-ray diffraction stick pattern is theoretical, not measured: it uses the PBE geometry in Alexandria and Cu Kα.
Intensities are scaled so that the largest is 100.

Atomic structure:
```
CeHo2S5
1.0
2.6467 -6.5910 0.0000
2.6467 6.5910 0.0000
0.0000 0.0000 13.2110
Ce Ho S
2 4 10
Direct
0.1994 0.8006 0.7500
0.8006 0.1994 0.2500
0.1439 0.8561 0.0562
0.1439 0.8561 0.4438
0.8561 0.1439 0.5562
0.8561 0.1439 0.9438
0.0467 0.9533 0.6207
0.0467 0.9533 0.8793
0.2367 0.7633 0.2500
0.3125 0.6875 0.5711
0.3125 0.6875 0.9289
0.6875 0.3125 0.0711
0.6875 0.3125 0.4289
0.7633 0.2367 0.7500
0.9533 0.0467 0.1207
0.9533 0.0467 0.3793
```

Top 12 peaks for 15 to 90 degrees two-theta, in order of rising 2θ:
| 2θ (°) | I/Imax |
| --- | --- |
| 18.06 | 100 |
| 24.31 | 81 |
| 26.36 | 46 |
| 27.20 | 57 |
| 30.30 | 43 |
| 33.87 | 50 |
| 33.98 | 33 |
| 36.62 | 29 |
| 42.13 | 38 |
| 43.50 | 42 |
| 46.07 | 26 |
| 48.73 | 23 |

---

Diffraction record for Nb3Pd2Au2. The X-ray diffraction stick pattern is theoretical, not measured: it uses the PBE geometry in Alexandria and Cu Kα.
Intensities are scaled so that the largest is 100.

Atomic structure:
```
Nb3Pd2Au2
1.0
2.7813 0.0000 0.0000
0.0000 4.7814 0.0000
0.0000 0.0000 18.3566
Nb Pd Au
6 4 4
Direct
0.0000 0.0000 0.0000
0.0000 0.0000 0.2796
0.0000 0.0000 0.7204
0.5000 0.5000 0.2204
0.5000 0.5000 0.5000
0.5000 0.5000 0.7796
0.0000 0.5000 0.3627
0.0000 0.5000 0.6373
0.5000 0.0000 0.1373
0.5000 0.0000 0.8627
0.0000 0.5000 0.0806
0.0000 0.5000 0.9194
0.5000 0.0000 0.4194
0.5000 0.0000 0.5806
```

Top 12 peaks for 15 to 90 degrees two-theta, in order of rising 2θ:
| 2θ (°) | I/Imax |
| --- | --- |
| 35.45 | 29 |
| 37.41 | 17 |
| 37.62 | 62 |
| 38.72 | 19 |
| 39.18 | 100 |
| 42.45 | 83 |
| 52.65 | 18 |
| 65.20 | 18 |
| 68.95 | 19 |
| 71.22 | 17 |
| 77.79 | 22 |
| 80.76 | 24 |

---

Diffraction record for Tc2PbF11. The X-ray diffraction stick pattern is theoretical, not measured: it uses the PBE geometry in Alexandria and Cu Kα.
Intensities are scaled so that the largest is 100.

Atomic structure:
```
Tc2PbF11
1.0
-4.5874 4.5969 5.4474
4.5874 -4.5969 5.4474
4.5874 4.5969 -5.4474
Tc Pb F
4 2 22
Direct
0.1579 0.1571 0.3150
0.3421 0.6571 0.9993
0.6579 0.3429 0.0007
0.8421 0.8429 0.6850
0.2500 0.7500 0.5000
0.7500 0.2500 0.5000
0.0000 0.0000 0.0000
0.0713 0.8611 0.6806
0.1094 0.4272 0.7883
0.1389 0.9272 0.3179
0.1805 0.3907 0.3194
0.1994 0.7989 0.9983
0.3006 0.2989 0.5994
0.3195 0.6389 0.2102
0.3611 0.6789 0.7883
0.3906 0.1789 0.3179
0.4287 0.1093 0.7898
0.5000 0.5000 0.0000
0.5713 0.8907 0.2102
0.6094 0.8211 0.6821
0.6389 0.3211 0.2117
0.6805 0.3611 0.7898
0.6994 0.7011 0.4006
0.8006 0.2011 0.0017
0.8195 0.6093 0.6806
0.8611 0.0728 0.6821
0.8906 0.5728 0.2117
0.9287 0.1389 0.3194
```

Top 12 peaks for 15 to 90 degrees two-theta, in order of rising 2θ:
| 2θ (°) | I/Imax |
| --- | --- |
| 21.29 | 100 |
| 23.14 | 55 |
| 25.37 | 69 |
| 30.79 | 39 |
| 32.90 | 17 |
| 42.74 | 19 |
| 43.36 | 32 |
| 44.10 | 17 |
| 45.07 | 33 |
| 45.66 | 33 |
| 53.59 | 14 |
| 54.35 | 11 |

---

Diffraction record for CaHgF4. The X-ray diffraction stick pattern is theoretical, not measured: it uses the PBE geometry in Alexandria and Cu Kα.
Intensities are scaled so that the largest is 100.

Atomic structure:
```
CaHgF4
1.0
3.9470 0.0000 0.0000
0.0000 3.9470 0.0000
0.0000 0.0000 5.5959
Ca Hg F
1 1 4
Direct
0.0000 0.0000 0.0000
0.5000 0.5000 0.5000
0.0000 0.5000 0.2421
0.0000 0.5000 0.7579
0.5000 0.0000 0.2421
0.5000 0.0000 0.7579
```

Top 12 peaks for 15 to 90 degrees two-theta, in order of rising 2θ:
| 2θ (°) | I/Imax |
| --- | --- |
| 15.84 | 34 |
| 22.53 | 33 |
| 27.66 | 100 |
| 32.04 | 23 |
| 35.96 | 23 |
| 39.48 | 17 |
| 45.95 | 64 |
| 54.40 | 15 |
| 54.51 | 30 |
| 62.18 | 9 |
| 73.96 | 19 |
| 85.11 | 13 |

---

Diffraction record for Tb2PmTcO8. The X-ray diffraction stick pattern is theoretical, not measured: it uses the PBE geometry in Alexandria and Cu Kα.
Intensities are scaled so that the largest is 100.

Atomic structure:
```
Tb2PmTcO8
1.0
3.5993 -3.5997 0.0000
3.5993 3.5997 0.0000
0.0000 0.0000 6.8459
Tb Pm Tc O
2 1 1 8
Direct
0.0000 0.0000 0.2499
0.0000 0.0000 0.7501
0.5000 0.5000 0.0000
0.5000 0.5000 0.5000
0.1872 0.8128 0.0000
0.2355 0.7645 0.5000
0.3173 0.3173 0.2968
0.3173 0.3173 0.7032
0.6827 0.6827 0.2968
0.6827 0.6827 0.7032
0.7645 0.2355 0.5000
0.8128 0.1872 0.0000
```

Top 12 peaks for 15 to 90 degrees two-theta, in order of rising 2θ:
| 2θ (°) | I/Imax |
| --- | --- |
| 24.73 | 100 |
| 31.50 | 87 |
| 35.26 | 25 |
| 47.99 | 68 |
| 50.73 | 17 |
| 57.23 | 17 |
| 59.84 | 17 |
| 60.94 | 20 |
| 65.75 | 10 |
| 72.41 | 15 |
| 82.21 | 13 |
| 83.18 | 13 |

---

Diffraction record for Tb5Pr4Y2. The X-ray diffraction stick pattern is theoretical, not measured: it uses the PBE geometry in Alexandria and Cu Kα.
Intensities are scaled so that the largest is 100.

Atomic structure:
```
Tb5Pr4Y2
1.0
9.6936 -2.8617 0.0000
9.6936 2.8617 0.0000
-0.1302 0.0000 6.6887
Tb Pr Y
5 4 2
Direct
0.0000 0.0000 0.0000
0.2913 0.2913 0.5972
0.3695 0.3695 0.1067
0.6305 0.6305 0.8933
0.7087 0.7087 0.4028
0.1942 0.1942 0.0704
0.4811 0.4811 0.7129
0.5189 0.5189 0.2871
0.8058 0.8058 0.9296
0.0974 0.0974 0.5527
0.9026 0.9026 0.4473
```

Top 12 peaks for 15 to 90 degrees two-theta, in order of rising 2θ:
| 2θ (°) | I/Imax |
| --- | --- |
| 30.49 | 23 |
| 30.70 | 15 |
| 31.10 | 70 |
| 31.25 | 100 |
| 44.23 | 17 |
| 45.09 | 10 |
| 55.53 | 14 |
| 55.61 | 13 |
| 55.89 | 11 |
| 59.45 | 7 |
| 61.15 | 9 |
| 65.19 | 7 |

---

Diffraction record for ErMnTe3. The X-ray diffraction stick pattern is theoretical, not measured: it uses the PBE geometry in Alexandria and Cu Kα.
Intensities are scaled so that the largest is 100.

Atomic structure:
```
ErMnTe3
1.0
7.8422 0.0000 0.0000
0.0000 4.1859 0.0000
-0.6172 0.0000 8.5196
Er Mn Te
2 2 6
Direct
0.1194 0.2500 0.2836
0.8806 0.7500 0.7164
0.3527 0.7500 0.8339
0.6473 0.2500 0.1661
0.1251 0.2500 0.9030
0.2225 0.7500 0.5347
0.3999 0.7500 0.1616
0.6001 0.2500 0.8384
0.7775 0.2500 0.4653
0.8749 0.7500 0.0970
```

Top 12 peaks for 15 to 90 degrees two-theta, in order of rising 2θ:
| 2θ (°) | I/Imax |
| --- | --- |
| 26.65 | 47 |
| 29.91 | 96 |
| 31.30 | 100 |
| 32.52 | 34 |
| 32.64 | 22 |
| 34.37 | 43 |
| 36.94 | 18 |
| 39.37 | 53 |
| 40.59 | 19 |
| 43.23 | 46 |
| 56.35 | 21 |
| 59.68 | 17 |

---

Diffraction record for Pm7Ni2Rh2. The X-ray diffraction stick pattern is theoretical, not measured: it uses the PBE geometry in Alexandria and Cu Kα.
Intensities are scaled so that the largest is 100.

Atomic structure:
```
Pm7Ni2Rh2
1.0
4.2083 -5.3346 0.0000
4.2083 5.3346 0.0000
0.0000 0.0000 7.0167
Pm Ni Rh
7 2 2
Direct
0.0000 0.0000 0.0000
0.0000 0.5000 0.2638
0.0000 0.5000 0.7362
0.5000 0.0000 0.2638
0.5000 0.0000 0.7362
0.5000 0.5000 0.2577
0.5000 0.5000 0.7423
0.2359 0.2359 0.5000
0.7641 0.7641 0.5000
0.2763 0.7237 0.0000
0.7237 0.2763 0.0000
```

Top 12 peaks for 15 to 90 degrees two-theta, in order of rising 2θ:
| 2θ (°) | I/Imax |
| --- | --- |
| 24.67 | 37 |
| 26.99 | 52 |
| 28.81 | 31 |
| 33.60 | 53 |
| 37.39 | 100 |
| 37.56 | 27 |
| 42.12 | 26 |
| 42.99 | 34 |
| 55.64 | 25 |
| 62.59 | 18 |
| 63.46 | 18 |
| 79.73 | 17 |